Th3PdRu2: theoretical powder diffractogram (a wavelength of 1.5418 Å), based on a PBE-relaxed structure.
Intensities are scaled so that the largest is 100.

Principal peaks in the range 15 to 90 degrees two-theta, sorted by position:
| d [Å] | Rel. int. |
| --- | --- |
| 3.358 | 12 |
| 3.345 | 12 |
| 2.903 | 100 |
| 2.060 | 12 |
| 2.052 | 50 |
| 2.048 | 13 |
| 1.679 | 12 |
| 1.673 | 14 |
| 1.297 | 19 |
| 1.183 | 13 |

Cell and atoms:
```
Th3PdRu2
1.0
6.507 -2.899 0.000
6.507 2.899 0.000
-2.568 0.000 7.779
Th Pd Ru
6 2 4
Direct
0.001 0.999 0.750
0.321 0.322 0.411
0.322 0.321 0.911
0.678 0.679 0.089
0.679 0.678 0.589
0.999 0.001 0.250
0.499 0.501 0.250
0.501 0.499 0.750
0.160 0.161 0.080
0.161 0.160 0.580
0.839 0.840 0.420
0.840 0.839 0.920
```

Th2PdRu: theoretical powder diffractogram (a wavelength of 1.5418 Å), based on a PBE-relaxed structure.
Intensities are scaled so that the largest is 100.

Principal peaks in the range 15 to 90 degrees two-theta, sorted by position:
| d [Å] | Rel. int. |
| --- | --- |
| 3.374 | 20 |
| 2.903 | 41 |
| 2.785 | 100 |
| 2.761 | 11 |
| 2.311 | 24 |
| 2.298 | 25 |
| 2.073 | 20 |
| 1.986 | 17 |
| 1.687 | 17 |
| 1.434 | 12 |

Cell and atoms:
```
Th2PdRu
1.0
6.151 0.000 0.000
0.000 4.147 0.000
-2.626 0.000 7.499
Th Pd Ru
4 2 2
Direct
0.225 0.250 0.444
0.227 0.250 0.921
0.773 0.750 0.079
0.775 0.750 0.556
0.317 0.750 0.204
0.683 0.250 0.796
0.294 0.750 0.706
0.706 0.250 0.294
```

ZrTlPdRu2: theoretical powder diffractogram (a wavelength of 1.5418 Å), based on a PBE-relaxed structure.
Intensities are scaled so that the largest is 100.

Principal peaks in the range 15 to 90 degrees two-theta, sorted by position:
| d [Å] | Rel. int. |
| --- | --- |
| 4.909 | 71 |
| 4.805 | 31 |
| 3.471 | 26 |
| 3.434 | 45 |
| 2.814 | 35 |
| 2.454 | 100 |
| 2.402 | 47 |
| 1.736 | 35 |
| 1.717 | 67 |
| 1.407 | 34 |

Cell and atoms:
```
ZrTlPdRu2
1.0
4.909 0.000 0.000
0.000 4.909 0.000
0.000 0.000 4.805
Zr Tl Pd Ru
1 1 1 2
Direct
0.000 0.000 0.000
0.500 0.500 0.500
0.500 0.500 0.000
0.000 0.500 0.500
0.500 0.000 0.500
```

Tm6PdRu5: theoretical powder diffractogram (a wavelength of 1.5418 Å), based on a PBE-relaxed structure.
Intensities are scaled so that the largest is 100.

Principal peaks in the range 15 to 90 degrees two-theta, sorted by position:
| d [Å] | Rel. int. |
| --- | --- |
| 3.371 | 5 |
| 3.362 | 3 |
| 2.383 | 100 |
| 2.375 | 20 |
| 1.688 | 7 |
| 1.682 | 14 |
| 1.376 | 21 |
| 1.374 | 14 |
| 1.372 | 7 |
| 1.191 | 11 |

Cell and atoms:
```
Tm6PdRu5
1.0
4.764 0.000 0.000
0.000 6.754 0.000
-2.373 0.000 7.126
Tm Pd Ru
6 1 5
Direct
0.000 0.244 0.000
0.000 0.756 0.000
0.331 0.247 0.661
0.331 0.753 0.661
0.669 0.247 0.339
0.669 0.753 0.339
0.500 0.500 0.000
0.166 0.000 0.332
0.166 0.500 0.331
0.500 0.000 0.000
0.834 0.000 0.668
0.834 0.500 0.669
```

Tm4Pd2Ru: theoretical powder diffractogram (a wavelength of 1.5418 Å), based on a PBE-relaxed structure.
Intensities are scaled so that the largest is 100.

Principal peaks in the range 15 to 90 degrees two-theta, sorted by position:
| d [Å] | Rel. int. |
| --- | --- |
| 3.407 | 23 |
| 2.443 | 26 |
| 2.409 | 100 |
| 2.378 | 24 |
| 1.704 | 26 |
| 1.404 | 18 |
| 1.397 | 9 |
| 1.385 | 9 |
| 1.379 | 17 |
| 1.205 | 11 |

Cell and atoms:
```
Tm4Pd2Ru
1.0
3.406 -4.886 0.000
3.406 4.886 0.000
0.000 0.000 4.756
Tm Pd Ru
4 2 1
Direct
0.000 0.500 0.500
0.246 0.246 0.000
0.500 0.000 0.500
0.754 0.754 0.000
0.247 0.753 0.000
0.753 0.247 0.000
0.000 0.000 0.500
```

Tm4PdRu3: theoretical powder diffractogram (a wavelength of 1.5418 Å), based on a PBE-relaxed structure.
Intensities are scaled so that the largest is 100.

Principal peaks in the range 15 to 90 degrees two-theta, sorted by position:
| d [Å] | Rel. int. |
| --- | --- |
| 3.375 | 7 |
| 2.387 | 100 |
| 1.949 | 2 |
| 1.689 | 12 |
| 1.685 | 6 |
| 1.510 | 2 |
| 1.508 | 1 |
| 1.378 | 35 |
| 1.194 | 4 |
| 1.193 | 7 |

Cell and atoms:
```
Tm4PdRu3
1.0
4.777 0.000 0.000
0.000 4.777 0.000
0.000 0.000 6.739
Tm Pd Ru
4 1 3
Direct
0.000 0.500 0.244
0.000 0.500 0.756
0.500 0.000 0.244
0.500 0.000 0.756
0.000 0.000 0.500
0.000 0.000 0.000
0.500 0.500 0.000
0.500 0.500 0.500
```

Tm8PdRu2: theoretical powder diffractogram (a wavelength of 1.5418 Å), based on a PBE-relaxed structure.
Intensities are scaled so that the largest is 100.

Principal peaks in the range 15 to 90 degrees two-theta, sorted by position:
| d [Å] | Rel. int. |
| --- | --- |
| 2.863 | 65 |
| 2.831 | 79 |
| 2.775 | 64 |
| 2.695 | 100 |
| 2.672 | 88 |
| 2.488 | 43 |
| 2.449 | 63 |
| 2.248 | 54 |
| 2.236 | 50 |
| 1.624 | 46 |

Cell and atoms:
```
Tm8PdRu2
1.0
4.181 -6.208 0.000
4.181 6.208 0.000
-1.723 0.000 5.432
Tm Pd Ru
8 1 2
Direct
0.000 0.000 0.000
0.029 0.292 0.596
0.145 0.591 0.189
0.292 0.029 0.596
0.440 0.701 0.785
0.591 0.145 0.189
0.701 0.440 0.785
0.739 0.739 0.380
0.370 0.370 0.065
0.054 0.676 0.689
0.676 0.054 0.689
```

VPdRu: theoretical powder diffractogram (a wavelength of 1.5418 Å), based on a PBE-relaxed structure.
Intensities are scaled so that the largest is 100.

Principal peaks in the range 15 to 90 degrees two-theta, sorted by position:
| d [Å] | Rel. int. |
| --- | --- |
| 2.443 | 15 |
| 2.233 | 100 |
| 2.204 | 43 |
| 2.172 | 47 |
| 2.030 | 82 |
| 2.025 | 15 |
| 1.731 | 14 |
| 1.461 | 14 |
| 1.212 | 13 |
| 1.188 | 13 |

Cell and atoms:
```
VPdRu
1.0
4.501 0.000 0.000
0.000 2.921 0.000
-0.909 0.000 6.515
V Pd Ru
2 2 2
Direct
0.225 0.000 0.334
0.775 0.000 0.666
0.000 0.500 0.000
0.500 0.000 0.000
0.276 0.500 0.641
0.724 0.500 0.359
```

YPd2Ru2: theoretical powder diffractogram (a wavelength of 1.5418 Å), based on a PBE-relaxed structure.
Intensities are scaled so that the largest is 100.

Principal peaks in the range 15 to 90 degrees two-theta, sorted by position:
| d [Å] | Rel. int. |
| --- | --- |
| 3.535 | 15 |
| 2.837 | 31 |
| 2.417 | 100 |
| 2.168 | 52 |
| 2.052 | 40 |
| 1.832 | 43 |
| 1.399 | 25 |
| 1.295 | 13 |
| 1.194 | 20 |
| 1.142 | 18 |

Cell and atoms:
```
YPd2Ru2
1.0
-1.832 1.832 6.725
1.832 -1.832 6.725
1.832 1.832 -6.725
Y Pd Ru
1 2 2
Direct
0.000 0.000 0.000
0.399 0.399 0.000
0.601 0.601 0.000
0.250 0.750 0.500
0.750 0.250 0.500
```

Zn2PdRu2: theoretical powder diffractogram (a wavelength of 1.5418 Å), based on a PBE-relaxed structure.
Intensities are scaled so that the largest is 100.

Principal peaks in the range 15 to 90 degrees two-theta, sorted by position:
| d [Å] | Rel. int. |
| --- | --- |
| 2.884 | 15 |
| 2.554 | 20 |
| 2.284 | 71 |
| 2.253 | 48 |
| 2.151 | 100 |
| 2.003 | 26 |
| 1.791 | 20 |
| 1.645 | 14 |
| 1.272 | 25 |
| 1.219 | 18 |

Cell and atoms:
```
Zn2PdRu2
1.0
7.224 0.000 0.000
0.000 7.224 0.000
0.000 0.000 2.884
Zn Pd Ru
4 2 4
Direct
0.179 0.321 0.000
0.321 0.821 0.000
0.679 0.179 0.000
0.821 0.679 0.000
0.000 0.000 0.500
0.500 0.500 0.500
0.117 0.617 0.500
0.383 0.117 0.500
0.617 0.883 0.500
0.883 0.383 0.500
```

PdS: theoretical powder diffractogram (a wavelength of 1.5418 Å), based on a PBE-relaxed structure.
Intensities are scaled so that the largest is 100.

Principal peaks in the range 15 to 90 degrees two-theta, sorted by position:
| d [Å] | Rel. int. |
| --- | --- |
| 2.972 | 68 |
| 2.928 | 59 |
| 2.913 | 62 |
| 2.704 | 40 |
| 2.670 | 100 |
| 1.896 | 27 |
| 1.769 | 34 |
| 1.753 | 45 |
| 1.744 | 23 |
| 1.629 | 20 |

Cell and atoms:
```
PdS
1.0
6.514 0.000 0.000
0.000 6.514 0.000
0.000 0.000 6.681
Pd S
8 8
Direct
0.000 0.000 0.250
0.000 0.000 0.750
0.000 0.500 0.000
0.258 0.530 0.500
0.470 0.258 0.000
0.500 0.000 0.500
0.530 0.742 0.000
0.742 0.470 0.500
0.194 0.307 0.228
0.194 0.307 0.772
0.307 0.806 0.272
0.307 0.806 0.728
0.693 0.194 0.272
0.693 0.194 0.728
0.806 0.693 0.228
0.806 0.693 0.772
```

Pd5S2: theoretical powder diffractogram (a wavelength of 1.5418 Å), based on a PBE-relaxed structure.
Intensities are scaled so that the largest is 100.

Principal peaks in the range 15 to 90 degrees two-theta, sorted by position:
| d [Å] | Rel. int. |
| --- | --- |
| 2.569 | 95 |
| 2.457 | 100 |
| 2.379 | 54 |
| 2.355 | 34 |
| 2.347 | 41 |
| 2.283 | 29 |
| 2.274 | 55 |
| 2.146 | 41 |
| 2.111 | 46 |
| 1.359 | 22 |

Cell and atoms:
```
Pd5S2
1.0
6.833 -2.914 0.000
6.833 2.914 0.000
-0.722 0.000 5.449
Pd S
10 4
Direct
0.082 0.358 0.263
0.132 0.868 0.750
0.346 0.456 0.069
0.358 0.082 0.763
0.456 0.346 0.569
0.544 0.654 0.431
0.642 0.918 0.237
0.654 0.544 0.931
0.868 0.132 0.250
0.918 0.642 0.737
0.062 0.701 0.382
0.299 0.938 0.118
0.701 0.062 0.882
0.938 0.299 0.618
```

Pd3S4: theoretical powder diffractogram (a wavelength of 1.5418 Å), based on a PBE-relaxed structure.
Intensities are scaled so that the largest is 100.

Principal peaks in the range 15 to 90 degrees two-theta, sorted by position:
| d [Å] | Rel. int. |
| --- | --- |
| 5.840 | 11 |
| 3.576 | 29 |
| 3.050 | 100 |
| 2.529 | 25 |
| 2.065 | 11 |
| 1.947 | 44 |
| 1.788 | 62 |
| 1.543 | 13 |
| 1.317 | 20 |
| 1.168 | 13 |

Cell and atoms:
```
Pd3S4
1.0
0.000 5.058 5.058
5.058 0.000 5.058
5.058 5.058 0.000
Pd S
6 8
Direct
0.000 0.000 0.000
0.000 0.000 0.500
0.000 0.500 0.000
0.375 0.375 0.375
0.500 0.000 0.000
0.625 0.625 0.625
0.219 0.760 0.760
0.240 0.240 0.240
0.240 0.240 0.781
0.240 0.781 0.240
0.760 0.219 0.760
0.760 0.760 0.219
0.760 0.760 0.760
0.781 0.240 0.240
```